Starting from a DFT-relaxed cell (PBE, OQMD), the X-ray diffraction stick pattern of Pm3CdHg5 was simulated for Cu Kα (weighted mean of Kα1 and Kα2).

Cell and atoms:
```
Pm3CdHg5
1.0
9.153 0.000 0.000
-4.577 7.927 0.000
0.000 0.000 6.450
Pm Cd Hg
6 2 10
Cartesian
-1.592 2.757 1.612
-2.985 5.170 4.837
3.184 0.000 1.612
1.592 2.757 4.837
5.969 0.000 4.837
2.985 5.170 1.612
0.000 0.000 0.000
0.000 0.000 3.225
-1.448 2.508 4.837
-3.128 5.419 1.612
2.896 0.000 4.837
1.448 2.508 1.612
0.000 5.285 0.000
0.000 5.285 3.225
4.577 2.642 0.000
4.577 2.642 3.225
6.257 0.000 1.612
3.128 5.419 4.837
```

Main lines, in order of rising 2θ (2θ from 15° to 90°):
(0 0 2), 27.66 deg, I = 4
(3 0 0), 33.97 deg, I = 100
(3 0 2), 44.32 deg, I = 5
(2 2 2), 48.80 deg, I = 17
(0 0 4), 57.12 deg, I = 4
(3 3 0), 60.74 deg, I = 26
(3 0 4), 68.13 deg, I = 14
(6 0 0), 71.40 deg, I = 5
(5 2 2), 81.49 deg, I = 7
(3 3 4), 88.16 deg, I = 7



Starting from a DFT-relaxed cell (PBE, OQMD), the X-ray diffraction stick pattern of Pr3Cd4Hg2 was simulated for Cu Kα (weighted mean of Kα1 and Kα2).

Cell and atoms:
```
Pr3Cd4Hg2
1.0
8.082 0.000 0.000
-4.041 6.999 0.000
0.000 0.000 4.228
Pr Cd Hg
3 4 2
Cartesian
-1.664 2.881 0.000
3.327 0.000 0.000
2.377 4.118 0.000
0.000 0.000 0.000
-3.012 5.218 2.114
1.029 1.782 2.114
6.025 0.000 2.114
0.000 4.666 2.114
4.041 2.333 2.114
```

Main lines, in order of rising 2θ (2θ from 15° to 90°):
(1 1 1), 30.60 deg, I = 97
(2 0 1), 33.23 deg, I = 100
(2 1 0), 33.89 deg, I = 45
(3 0 0), 38.59 deg, I = 46
(2 1 1), 40.21 deg, I = 35
(0 0 2), 42.78 deg, I = 28
(2 1 2), 55.66 deg, I = 21
(3 0 2), 58.96 deg, I = 26
(3 2 1), 61.80 deg, I = 33
(5 2 0), 86.90 deg, I = 14